No. 1
Dy2ErTm2Sc: computed powder XRD pattern (Cu Kα, 1.54184 Å), based on a DFT-relaxed cell (PBE, Alexandria).

Peak list (10 most intense, 10 to 90 degrees two-theta, most intense first)
2θ 32.7, I = 100, hkl 0 3 1; 2θ 32.3, I = 80, hkl 2 2 0; 2θ 58.1, I = 30, hkl 2 5 1; 2θ 46.6, I = 29, hkl 2 2 2; 2θ 64.2, I = 29, hkl 4 3 1; 2θ 42.3, I = 26, hkl 2 3 1; 2θ 58.4, I = 19, hkl 0 6 0; 2θ 26.0, I = 16, hkl 2 0 0; 2θ 83.2, I = 14, hkl 4 6 0; 2θ 77.8, I = 8, hkl 2 5 3

Structure:
```
data_Dy2ErTm2Sc
_chemical_formula_sum 'Dy4 Er2 Tm4 Sc2'
_cell_length_a 6.8495
_cell_length_b 9.4655
_cell_length_c 5.4757
_cell_angle_alpha 90.00
_cell_angle_beta 90.00
_cell_angle_gamma 90.00
_symmetry_space_group_name_H-M 'P n n m'
_symmetry_Int_Tables_number 58
loop_
_symmetry_equiv_pos_as_xyz
'x,y,z'
'-x,-y,-z'
'-x,-y,z'
'x,y,-z'
'x+1/2,-y+1/2,-z+1/2'
'-x+1/2,y+1/2,z+1/2'
'-x+1/2,y+1/2,-z+1/2'
'x+1/2,-y+1/2,z+1/2'
loop_
_atom_site_label
_atom_site_type_symbol
_atom_site_fract_x
_atom_site_fract_y
_atom_site_fract_z
Dy1 Dy 0.2473 0.1661 0.0000
Er1 Er 0.0000 0.5000 0.0000
Tm1 Tm 0.2487 0.8327 0.0000
Sc1 Sc 0.0000 0.0000 0.5000
```


No. 2
Ac2PrHoSe4: computed powder XRD pattern (Cu Kα, 1.54184 Å), based on a DFT-relaxed cell (PBE, Alexandria).

Peak list (10 most intense, 10 to 90 degrees two-theta, most intense first)
2θ 29.3, I = 100, hkl 1 1 1; 2θ 41.2, I = 26, hkl 1 1 -3; 2θ 42.5, I = 24, hkl 3 1 -1; 2θ 25.7, I = 15, hkl 1 1 -1; 2θ 52.8, I = 13, hkl 2 2 -2; 2θ 40.9, I = 13, hkl 2 0 2; 2θ 60.8, I = 12, hkl 2 2 2; 2θ 42.9, I = 12, hkl 0 2 0; 2θ 67.9, I = 11, hkl 0 2 4; 2θ 69.8, I = 11, hkl 4 2 0

Structure:
```
data_Ac2PrHoSe4
_chemical_formula_sum 'Ac2 Pr1 Ho1 Se4'
_cell_length_a 7.3793
_cell_length_b 4.2169
_cell_length_c 7.6886
_cell_angle_alpha 90.00
_cell_angle_beta 108.32
_cell_angle_gamma 90.00
_symmetry_space_group_name_H-M 'P 1 2/m 1'
_symmetry_Int_Tables_number 10
loop_
_symmetry_equiv_pos_as_xyz
'x,y,z'
'-x,-y,-z'
'-x,y,-z'
'x,-y,z'
loop_
_atom_site_label
_atom_site_type_symbol
_atom_site_fract_x
_atom_site_fract_y
_atom_site_fract_z
Ac1 Ac 0.0000 0.0000 0.0000
Ac2 Ac 0.5000 0.5000 0.0000
Pr1 Pr 0.0000 0.5000 0.5000
Ho1 Ho 0.5000 0.0000 0.5000
Se1 Se 0.2527 0.0000 0.7302
Se2 Se 0.2681 0.5000 0.2762
```


No. 3
K3CeSb2O8: computed powder XRD pattern (Cu Kα, 1.54184 Å), based on a DFT-relaxed cell (PBE, Alexandria).

Peak list (10 most intense, 10 to 90 degrees two-theta, most intense first)
2θ 28.6, I = 100, hkl 1 1 0; 2θ 19.9, I = 83, hkl 1 0 1; 2θ 28.1, I = 77, hkl 0 1 2; 2θ 40.5, I = 44, hkl 2 0 2; 2θ 50.3, I = 30, hkl 1 2 2; 2θ 50.6, I = 19, hkl 3 0 0; 2θ 45.9, I = 19, hkl 2 1 1; 2θ 59.2, I = 18, hkl 2 2 0; 2θ 38.2, I = 15, hkl 0 1 3; 2θ 55.2, I = 14, hkl 1 1 4

Structure:
```
data_K3CeSb2O8
_chemical_formula_sum 'K3 Ce1 Sb2 O8'
_cell_length_a 6.2446
_cell_length_b 6.2446
_cell_length_c 7.8625
_cell_angle_alpha 90.00
_cell_angle_beta 90.00
_cell_angle_gamma 120.00
_symmetry_space_group_name_H-M 'P -3 m 1'
_symmetry_Int_Tables_number 164
_symmetry_space_group_name_Hall '-P 3 2"'
loop_
_atom_site_label
_atom_site_type_symbol
_atom_site_fract_x
_atom_site_fract_y
_atom_site_fract_z
K1 K 0.0000 0.0000 0.0000
K2 K 0.3333 0.6667 0.6633
Ce1 Ce 0.0000 0.0000 0.5000
Sb1 Sb 0.3333 0.6667 0.2183
O1 O 0.1712 0.3425 0.3232
O2 O 0.3333 0.6667 0.9802
```


No. 4
HoTh8C5: computed powder XRD pattern (Cu Kα, 1.54184 Å), based on a DFT-relaxed cell (PBE, Alexandria).

Peak list (10 most intense, 10 to 90 degrees two-theta, most intense first)
2θ 30.9, I = 100, hkl 3 1 1; 2θ 32.2, I = 95, hkl 3 1 -2; 2θ 28.9, I = 79, hkl 0 0 3; 2θ 30.4, I = 48, hkl 6 0 -2; 2θ 58.5, I = 46, hkl 9 1 2; 2θ 32.4, I = 44, hkl 6 0 1; 2θ 49.2, I = 42, hkl 9 1 -1; 2θ 28.2, I = 29, hkl 3 1 0; 2θ 28.6, I = 25, hkl 6 0 0; 2θ 54.2, I = 24, hkl 3 1 -5

Structure:
```
data_HoTh8C5
_chemical_formula_sum 'Ho2 Th16 C10'
_cell_length_a 19.3044
_cell_length_b 3.6715
_cell_length_c 9.5542
_cell_angle_alpha 90.00
_cell_angle_beta 103.91
_cell_angle_gamma 90.00
_symmetry_space_group_name_H-M 'C 1 2/m 1'
_symmetry_Int_Tables_number 12
loop_
_symmetry_equiv_pos_as_xyz
'x,y,z'
'-x,-y,-z'
'-x,y,-z'
'x,-y,z'
'x+1/2,y+1/2,z'
'-x+1/2,-y+1/2,-z'
'-x+1/2,y+1/2,-z'
'x+1/2,-y+1/2,z'
loop_
_atom_site_label
_atom_site_type_symbol
_atom_site_fract_x
_atom_site_fract_y
_atom_site_fract_z
Ho1 Ho 0.0000 0.0000 0.0000
Th1 Th 0.0769 0.0000 0.6627
Th2 Th 0.0916 0.5000 0.3441
Th3 Th 0.1694 0.5000 0.9947
Th4 Th 0.2385 0.5000 0.6672
C1 C 0.0000 0.5000 0.5000
C2 C 0.1647 0.0000 0.4901
C3 C 0.2053 0.0000 0.8447
```


No. 5
CaSb8: computed powder XRD pattern (Cu Kα, 1.54184 Å), based on a DFT-relaxed cell (PBE, Alexandria).

Peak list (10 most intense, 10 to 90 degrees two-theta, most intense first)
2θ 32.9, I = 100, hkl 3 0 1; 2θ 33.5, I = 45, hkl 3 3 0; 2θ 59.6, I = 29, hkl 6 3 1; 2θ 58.4, I = 18, hkl 3 3 2; 2θ 48.2, I = 15, hkl 6 0 0; 2θ 69.0, I = 12, hkl 6 0 2; 2θ 46.3, I = 11, hkl 0 0 2; 2θ 77.2, I = 8, hkl 3 0 3; 2θ 15.6, I = 6, hkl 2 0 0; 2θ 22.2, I = 5, hkl 2 2 0

Structure:
```
data_CaSb8
_chemical_formula_sum 'Ca2 Sb16'
_cell_length_a 11.3345
_cell_length_b 11.3345
_cell_length_c 3.9209
_cell_angle_alpha 90.00
_cell_angle_beta 90.00
_cell_angle_gamma 90.00
_symmetry_space_group_name_H-M 'I 4/m m m'
_symmetry_Int_Tables_number 139
_symmetry_space_group_name_Hall '-I 4 2'
loop_
_atom_site_label
_atom_site_type_symbol
_atom_site_fract_x
_atom_site_fract_y
_atom_site_fract_z
Ca1 Ca 0.0000 0.0000 0.0000
Sb1 Sb 0.0000 0.3093 0.0000
Sb2 Sb 0.1664 0.1664 0.5000
```


No. 6
HAuN2O: computed powder XRD pattern (Cu Kα, 1.54184 Å), based on a DFT-relaxed cell (PBE, Alexandria).

Peak list (10 most intense, 10 to 90 degrees two-theta, most intense first)
2θ 13.5, I = 100, hkl 0 0 1; 2θ 33.1, I = 50, hkl 1 0 1; 2θ 27.2, I = 38, hkl 0 0 2; 2θ 45.4, I = 35, hkl 1 1 1; 2θ 30.1, I = 31, hkl 1 0 0; 2θ 41.0, I = 28, hkl 1 0 2; 2θ 51.7, I = 16, hkl 1 1 2; 2θ 52.0, I = 15, hkl 1 0 3; 2θ 61.3, I = 14, hkl 1 1 3; 2θ 43.1, I = 13, hkl 1 1 0

Structure:
```
data_HAuN2O
_chemical_formula_sum 'H1 Au1 N2 O1'
_cell_length_a 2.9669
_cell_length_b 2.9669
_cell_length_c 6.5498
_cell_angle_alpha 90.00
_cell_angle_beta 90.00
_cell_angle_gamma 90.00
_symmetry_space_group_name_H-M 'P 4/m m m'
_symmetry_Int_Tables_number 123
_symmetry_space_group_name_Hall '-P 4 2'
loop_
_atom_site_label
_atom_site_type_symbol
_atom_site_fract_x
_atom_site_fract_y
_atom_site_fract_z
H1 H 0.0000 0.0000 0.0000
Au1 Au 0.5000 0.5000 0.5000
N1 N 0.0000 0.5000 0.0000
O1 O 0.0000 0.0000 0.5000
```


No. 7
MnH2Br3: computed powder XRD pattern (Cu Kα, 1.54184 Å), based on a DFT-relaxed cell (PBE, Alexandria).

Peak list (10 most intense, 10 to 90 degrees two-theta, most intense first)
2θ 24.5, I = 100, hkl 1 1 -1; 2θ 17.7, I = 34, hkl 1 0 -1; 2θ 25.0, I = 32, hkl -1 1 2; 2θ 24.8, I = 29, hkl 1 1 2; 2θ 14.9, I = 28, hkl 1 0 0; 2θ 40.4, I = 18, hkl 0 2 4; 2θ 28.8, I = 18, hkl 0 0 3; 2θ 27.1, I = 17, hkl 0 2 1; 2θ 39.4, I = 16, hkl 0 2 -2; 2θ 40.8, I = 15, hkl 2 2 1

Structure:
```
data_MnH2Br3
_chemical_formula_sum 'Mn2 H4 Br6'
_cell_length_a 5.9551
_cell_length_b 6.5898
_cell_length_c 9.8044
_cell_angle_alpha 71.77
_cell_angle_beta 89.62
_cell_angle_gamma 89.82
_symmetry_space_group_name_H-M 'P -1'
_symmetry_Int_Tables_number 2
loop_
_symmetry_equiv_pos_as_xyz
'x,y,z'
'-x,-y,-z'
loop_
_atom_site_label
_atom_site_type_symbol
_atom_site_fract_x
_atom_site_fract_y
_atom_site_fract_z
Mn1 Mn 0.0880 0.2437 0.0099
H1 H 0.0836 0.8041 0.3939
H2 H 0.3120 0.1325 0.0795
Br1 Br 0.1769 0.0527 0.8356
Br2 Br 0.1901 0.4831 0.1455
Br3 Br 0.2753 0.7546 0.4876
```


No. 8
GePd3Pt2: computed powder XRD pattern (Cu Kα, 1.54184 Å), based on a DFT-relaxed cell (PBE, Alexandria).

Peak list (10 most intense, 10 to 90 degrees two-theta, most intense first)
2θ 41.6, I = 100, hkl 1 3 1; 2θ 39.7, I = 41, hkl 0 6 0; 2θ 39.0, I = 35, hkl 0 1 2; 2θ 45.3, I = 26, hkl 1 4 1; 2θ 38.8, I = 26, hkl 1 2 1; 2θ 43.4, I = 15, hkl 0 3 2; 2θ 73.4, I = 13, hkl 1 9 1; 2θ 62.0, I = 13, hkl 0 7 2; 2θ 32.5, I = 12, hkl 0 4 1; 2θ 64.0, I = 12, hkl 2 0 0

Structure:
```
data_GePd3Pt2
_chemical_formula_sum 'Ge2 Pd6 Pt4'
_cell_length_a 2.9079
_cell_length_b 13.6178
_cell_length_c 4.6918
_cell_angle_alpha 90.00
_cell_angle_beta 90.00
_cell_angle_gamma 90.00
_symmetry_space_group_name_H-M 'P m m n'
_symmetry_Int_Tables_number 59
loop_
_symmetry_equiv_pos_as_xyz
'x,y,z'
'-x,-y,-z'
'-x+1/2,-y+1/2,z'
'x+1/2,y+1/2,-z'
'x+1/2,-y,-z'
'-x+1/2,y,z'
'-x,y+1/2,-z'
'x,-y+1/2,z'
loop_
_atom_site_label
_atom_site_type_symbol
_atom_site_fract_x
_atom_site_fract_y
_atom_site_fract_z
Ge1 Ge 0.2500 0.2500 0.1688
Pd1 Pd 0.2500 0.0790 0.5893
Pd2 Pd 0.2500 0.7500 0.3602
Pt1 Pt 0.2500 0.5976 0.9129
```